(1)
This entry pairs a crystal structure of CeBe2NiH8 with its theoretical powder X-ray diffraction pattern. Radiation: Cu Kα X-rays. Structure: a PBE-relaxed structure.

Structure:
abc: 4.1838 4.1838 17.6448
angles: 90.00 90.00 120.00
Space group R-3 (No. 148, hexagonal axes)
Symmetry-distinct sites (fractional):
1 Ce 0.0000 0.0000 0.0000
2 Be 0.0000 0.0000 0.2315
3 Ni 0.0000 0.0000 0.5000
4 H 0.0000 0.0000 0.3185
5 H 0.0022 0.3488 0.2251

Principal peaks in the range 10 to 90 degrees two-theta, by intensity:
2θ 26.60, d 3.352, I 100, hkl 0 1 2
2θ 31.96, d 2.800, I 80, hkl 1 0 4
2θ 43.25, d 2.092, I 34, hkl 1 1 0
2θ 53.78, d 1.705, I 30, hkl 2 -1 6
2θ 30.39, d 2.941, I 24, hkl 0 0 6
2θ 48.31, d 1.884, I 23, hkl 0 1 8
2θ 25.09, d 3.549, I 17, hkl 1 0 1
2θ 54.78, d 1.676, I 17, hkl 0 2 4
2θ 51.50, d 1.775, I 16, hkl 2 0 2
2θ 15.06, d 5.882, I 15, hkl 0 0 3

---

(2)
This entry pairs a crystal structure of Ce2HoBe2O6 with its theoretical powder X-ray diffraction pattern. Radiation: Cu Kα X-rays. Structure: a PBE-relaxed structure.

Structure:
abc: 5.6913 5.6913 6.5341
angles: 90.00 90.00 120.00
Space group P-3 (No. 147)
Symmetry-distinct sites (fractional):
1 Ce 0.3333 0.6667 0.3114
2 Ho 0.0000 0.0000 0.5000
3 Be 0.3333 0.6667 0.7333
4 O 0.0919 0.3780 0.6761

Principal peaks in the range 10 to 90 degrees two-theta, by intensity:
2θ 13.55, d 6.534, I 100, hkl 0 0 1
2θ 22.60, d 3.935, I 83, hkl 1 0 1
2θ 31.44, d 2.846, I 68, hkl 1 1 0
2θ 32.89, d 2.723, I 66, hkl 1 0 2
2θ 34.37, d 2.609, I 42, hkl 2 -1 1
2θ 39.06, d 2.306, I 33, hkl 0 2 1
2θ 46.14, d 1.967, I 32, hkl 0 2 2
2θ 56.90, d 1.618, I 28, hkl 2 1 2
2θ 45.53, d 1.992, I 27, hkl 0 1 3
2θ 50.98, d 1.792, I 26, hkl 3 -1 1

---

(3)
This entry pairs a crystal structure of Ce4BeI6 with its theoretical powder X-ray diffraction pattern. Radiation: Cu Kα X-rays. Structure: a PBE-relaxed structure.

Structure:
abc: 10.301 10.301 7.782
angles: 90.00 90.00 90.00
Space group P4_2/nmc (No. 137, origin choice 2)
Symmetry-distinct sites (fractional):
1 Ce 0.021 0.750 0.094
2 Be 0.250 0.750 0.250
3 I 0.047 0.547 0.750
4 I 0.250 0.250 0.136

Principal peaks in the range 10 to 90 degrees two-theta, by intensity:
2θ 30.06, d 2.973, I 100, hkl 2 1 2
2θ 20.68, d 4.295, I 93, hkl 2 0 1
2θ 33.41, d 2.682, I 74, hkl 3 2 1
2θ 34.84, d 2.575, I 58, hkl 4 0 0
2θ 28.41, d 3.142, I 49, hkl 3 0 1
2θ 33.71, d 2.659, I 46, hkl 2 2 2
2θ 53.37, d 1.717, I 42, hkl 5 2 2
2θ 27.38, d 3.258, I 41, hkl 3 1 0
2θ 50.11, d 1.820, I 34, hkl 4 4 0
2θ 28.76, d 3.105, I 29, hkl 2 0 2